1.
This entry pairs a crystal structure of Ta3N4 with its simulated X-ray powder pattern. Radiation: Cu Kα X-rays. Structure: a PBE-relaxed structure.
No peak broadening, texture or thermal motion is included.

Largest 10 diffraction maxima, in order of falling intensity, 10 to 90 degrees two-theta:
2θ/deg  d (Å)  I_rel
33.69  2.661  100.0
43.93  2.061  44.3
52.54  1.742  25.9
63.88  1.457  24.7
74.20  1.278  22.3
67.40  1.389  15.8
39.09  2.304  10.3
80.77  1.190  6.1
70.83  1.330  4.4
56.48  1.629  1.9

Structural model:
```
14
Lattice="-3.259 3.259 3.259 3.259 -3.259 3.259 3.259 3.259 -3.259" Properties=species:S:1:pos:R:3 pbc="T T T"
Ta 4.888 0.815 0.000
Ta 2.444 0.000 1.629
Ta 1.629 2.444 0.000
Ta 0.000 1.629 2.444
Ta 0.815 0.000 4.888
Ta 0.000 4.888 0.815
N 2.774 0.485 -0.485
N 4.403 -1.145 1.145
N 0.485 0.485 0.485
N 0.485 -0.485 2.774
N -0.485 2.774 0.485
N 1.145 4.403 -1.145
N 2.114 2.114 2.114
N -1.145 1.145 4.403
```

---

2.
This entry pairs a crystal structure of HoLuSiGeOs with its simulated X-ray powder pattern. Radiation: Cu Kα X-rays. Structure: a PBE-relaxed structure.
No peak broadening, texture or thermal motion is included.

Largest 10 diffraction maxima, in order of falling intensity, 10 to 90 degrees two-theta:
2θ/deg  d (Å)  I_rel
33.92  2.643  100.0
37.30  2.411  77.9
33.83  2.649  56.7
43.05  2.101  51.6
27.73  3.217  47.7
41.19  2.192  47.6
41.07  2.198  34.5
34.84  2.575  27.8
33.33  2.688  26.8
65.58  1.424  26.8

Structural model:
```
10
Lattice="5.297 -2.101 0.000 5.297 2.101 0.000 -4.765 0.000 8.791" Properties=species:S:1:pos:R:3 pbc="T T T"
Ho -0.753 0.000 1.541
Ho 6.583 0.000 7.250
Lu -0.992 0.000 5.423
Lu 6.822 0.000 3.368
Si -0.696 0.000 8.262
Si 6.526 0.000 0.529
Ge 2.165 0.000 5.478
Ge 3.665 0.000 3.313
Os 2.229 0.000 1.112
Os 3.601 0.000 7.680
```

---

3.
This entry pairs a crystal structure of TbNd2Ni2B2N3 with its simulated X-ray powder pattern. Radiation: Cu Kα X-rays. Structure: a PBE-relaxed structure.
No peak broadening, texture or thermal motion is included.

Largest 10 diffraction maxima, in order of falling intensity, 10 to 90 degrees two-theta:
2θ/deg  d (Å)  I_rel
28.18  3.167  100.0
33.40  2.683  78.1
35.55  2.525  50.5
36.51  2.461  44.9
35.38  2.537  39.3
50.90  1.794  39.0
63.62  1.463  35.4
39.76  2.267  30.6
59.19  1.561  27.1
62.25  1.491  26.9

Structural model:
```
10
Lattice="-1.794 1.794 10.102 1.794 -1.794 10.102 1.794 1.794 -10.102" Properties=species:S:1:pos:R:3 pbc="T T T"
Tb 0.000 0.000 0.000
Nd 0.000 0.000 7.585
Nd 0.000 0.000 12.618
Ni 1.794 0.000 5.051
Ni 0.000 1.794 5.051
B 0.000 0.000 3.855
B 0.000 0.000 16.348
N 0.000 0.000 2.399
N 0.000 0.000 10.102
N 0.000 0.000 17.804
```

---

- Which formula does entry 1 have?
  Ta3N4